Record 1
For WI3O, DFT lattice parameters and positions (GGA+U) gives the theoretical XRD peak list in this record (Cu Ka).
Lines closer than 0.1° are merged.

Crystal structure
```
data_WI3O
_chemical_formula_sum 'W4 I12 O4'
_cell_length_a 13.757
_cell_length_b 13.757
_cell_length_c 3.868
_cell_angle_alpha 90.00
_cell_angle_beta 90.00
_cell_angle_gamma 90.00
_symmetry_space_group_name_H-M 'P 42/m n m'
_symmetry_Int_Tables_number 136
_symmetry_space_group_name_Hall '-P 4n 2n'
loop_
_atom_site_label
_atom_site_type_symbol
_atom_site_fract_x
_atom_site_fract_y
_atom_site_fract_z
_atom_site_occupancy
W1 W 0.109 0.109 0.000 1
I1 I 0.101 0.306 0.000 1
I2 I 0.101 0.899 0.000 1
O1 O 0.104 0.104 0.500 1
```

Most intense lines, 2θ from 10° to 80°, low angle first:
14.4°, 6.152 Å, I 54, (2 1 0)
23.9°, 3.724 Å, I 100, (1 0 1)
24.8°, 3.595 Å, I 30, (1 1 1)
25.9°, 3.439 Å, I 69, (4 0 0)
33.2°, 2.698 Å, I 49, (5 1 0)
40.2°, 2.242 Å, I 88, (5 0 1)
46.7°, 1.946 Å, I 32, (5 5 0)
48.5°, 1.878 Å, I 40, (5 4 1)

---

Record 2
For ZnWIO2, DFT lattice parameters and positions (GGA+U) gives the theoretical XRD peak list in this record (Cu Ka).
Lines closer than 0.1° are merged.

Crystal structure
```
data_ZnWIO2
_chemical_formula_sum 'Zn1 W1 I1 O2'
_cell_length_a 3.951
_cell_length_b 3.951
_cell_length_c 7.545
_cell_angle_alpha 90.00
_cell_angle_beta 90.00
_cell_angle_gamma 90.00
_symmetry_space_group_name_H-M 'P 4/m m m'
_symmetry_Int_Tables_number 123
_symmetry_space_group_name_Hall '-P 4 2'
loop_
_atom_site_label
_atom_site_type_symbol
_atom_site_fract_x
_atom_site_fract_y
_atom_site_fract_z
_atom_site_occupancy
Zn1 Zn 0.000 0.000 0.000 1
W1 W 0.500 0.500 0.500 1
I1 I 0.500 0.500 0.000 1
O1 O 0.000 0.500 0.500 1
```

Most intense lines, 2θ from 10° to 80°, low angle first:
22.5°, 3.951 Å, I 71, (1 0 0)
23.6°, 3.773 Å, I 100, (0 0 2)
25.4°, 3.500 Å, I 31, (1 0 1)
32.0°, 2.794 Å, I 63, (1 1 0)
32.8°, 2.728 Å, I 55, (1 0 2)
40.2°, 2.245 Å, I 69, (1 1 2)
45.9°, 1.975 Å, I 33, (2 0 0)
52.3°, 1.750 Å, I 44, (2 0 2)